Entry 1:
Calculated X-ray powder pattern
Compound: CaPm8Nd5
Radiation: Cu Kα
Structure: a DFT-relaxed cell (PBE, Alexandria)
Intensities are scaled so that the largest is 100.

Largest 10 diffraction maxima, in order of rising 2θ, 10 to 90 degrees two-theta:
two_theta	intensity
27.28	40
28.48	52
28.62	69
30.88	24
32.87	100
33.51	33
33.89	44
53.45	21
54.58	17
61.21	17

Structural model:
```
14
Lattice="-4.931 4.931 5.197 4.931 -4.931 5.197 4.931 4.931 -5.197" Properties=species:S:1:pos:R:3 pbc="T T T"
Ca 0.000 0.000 0.000
Pm 6.653 0.850 0.049
Pm 1.734 -0.719 3.652
Pm 0.850 3.210 -0.049
Pm 3.198 5.651 -1.545
Pm 4.212 3.198 1.545
Pm 4.081 1.722 5.147
Pm 0.719 1.734 6.741
Pm -1.722 4.081 5.246
Nd 3.871 2.071 -1.833
Nd 4.931 0.000 2.598
Nd 2.860 -1.061 7.030
Nd 1.061 2.860 3.364
Nd 2.071 5.992 1.833
```

=====

Entry 2:
Calculated X-ray powder pattern
Compound: CuHg2Br2O2
Radiation: Cu Kα
Structure: a DFT-relaxed cell (PBE, Alexandria)
Intensities are scaled so that the largest is 100.

Largest 10 diffraction maxima, in order of rising 2θ, 10 to 90 degrees two-theta:
two_theta	intensity
17.06	24
26.78	24
28.63	41
32.13	100
36.40	37
44.67	13
47.46	17
49.90	26
56.38	13
67.20	12

Structural model:
```
7
Lattice="6.113 -1.915 0.000 6.113 1.915 0.000 -3.539 0.000 5.723" Properties=species:S:1:pos:R:3 pbc="T T T"
Cu 0.000 0.000 0.000
Hg 0.246 0.000 3.848
Hg 8.440 0.000 1.875
Br 4.427 0.000 1.113
Br 4.259 0.000 4.610
O 0.995 0.000 1.598
O 7.691 0.000 4.125
```

=====

Entry 3:
Calculated X-ray powder pattern
Compound: Ho6Cd5Ga
Radiation: Cu Kα
Structure: a DFT-relaxed cell (PBE, Alexandria)
Intensities are scaled so that the largest is 100.

Largest 10 diffraction maxima, in order of rising 2θ, 10 to 90 degrees two-theta:
two_theta	intensity
24.07	5
34.29	100
49.21	6
49.32	12
61.37	24
61.50	12
72.23	9
82.36	5
82.51	7
82.64	3

Structural model:
```
12
Lattice="2.609 -7.850 0.000 2.609 7.850 0.000 0.000 0.000 7.407" Properties=species:S:1:pos:R:3 pbc="T T T"
Ho 0.000 0.000 1.779
Ho 0.000 0.000 5.628
Ho 2.609 2.545 1.823
Ho 2.609 2.545 5.584
Ho 2.609 -2.545 1.823
Ho 2.609 -2.545 5.584
Cd 2.609 5.208 3.703
Cd 2.609 5.137 0.000
Cd 2.609 0.000 3.703
Cd 2.609 -5.137 0.000
Cd 2.609 -5.208 3.703
Ga 2.609 0.000 0.000
```

=====

Entry 4:
Calculated X-ray powder pattern
Compound: Nd2ZnGa2Pd5
Radiation: Cu Kα
Structure: a DFT-relaxed cell (PBE, Alexandria)
Intensities are scaled so that the largest is 100.

Largest 10 diffraction maxima, in order of rising 2θ, 10 to 90 degrees two-theta:
two_theta	intensity
31.26	14
32.45	20
35.63	58
35.83	24
36.70	35
37.93	100
40.91	32
43.72	17
53.44	19
65.90	19

Structural model:
```
20
Lattice="10.388 0.000 0.000 0.000 10.388 0.000 0.000 0.000 3.429" Properties=species:S:1:pos:R:3 pbc="T T T"
Nd 1.824 3.371 0.000
Nd 3.371 8.565 0.000
Nd 7.018 1.824 0.000
Nd 8.565 7.018 0.000
Zn 0.000 0.000 0.000
Zn 5.194 5.194 0.000
Ga 1.319 6.514 0.000
Ga 3.875 1.319 0.000
Ga 6.514 9.069 0.000
Ga 9.069 3.875 0.000
Pd 0.000 5.194 1.714
Pd 0.560 8.331 1.714
Pd 2.057 0.560 1.714
Pd 3.137 5.755 1.714
Pd 4.634 3.137 1.714
Pd 5.194 0.000 1.714
Pd 5.755 7.251 1.714
Pd 7.251 4.634 1.714
Pd 8.331 9.828 1.714
Pd 9.828 2.057 1.714
```